The following is a simulated powder diffractogram of Y2P3Pt9. It was derived from a GGA-PBE-relaxed structure, using copper Kα.

Atomic structure:
```
data_Y2P3Pt9
_chemical_formula_sum 'Y8 P12 Pt36'
_symmetry_space_group_name_H-M 'C 1 2/c 1'
_symmetry_Int_Tables_number 15
_symmetry_space_group_name_Hall '-C 2yc'
_cell_length_a 13.5922
_cell_length_b 7.9293
_cell_length_c 9.7193
_cell_angle_alpha 90.00
_cell_angle_beta 117.81
_cell_angle_gamma 90.00
loop_
_atom_site_label
_atom_site_fract_x
_atom_site_fract_y
_atom_site_fract_z
Y1 0.1720 0.0819 0.2511
P1 0.0946 0.2192 0.4956
P2 0.2500 0.2500 0.0000
Pt1 0.0000 0.3567 0.2500
Pt2 0.0607 0.0655 0.9199
Pt3 0.1018 0.3157 0.7281
Pt4 0.1172 0.3952 0.0638
Pt5 0.2245 0.4085 0.4144
```

Largest 12 diffraction maxima, low angle first, 10° ≤ 2θ ≤ 90°:
- 2θ = 30.81°, intensity 32, hkl 3 1 -3
- 2θ = 34.75°, intensity 23, hkl 1 3 0
- 2θ = 35.60°, intensity 21, hkl 5 1 -1
- 2θ = 38.78°, intensity 57, hkl 0 2 3
- 2θ = 38.88°, intensity 100, hkl 3 1 2
- 2θ = 39.47°, intensity 62, hkl 3 3 -1
- 2θ = 39.79°, intensity 31, hkl 6 0 -2
- 2θ = 47.42°, intensity 18, hkl 6 2 -1
- 2θ = 56.77°, intensity 15, hkl 6 2 -5
- 2θ = 71.05°, intensity 19, hkl 3 5 -4
- 2θ = 71.27°, intensity 21, hkl 6 4 1
- 2θ = 71.63°, intensity 21, hkl 9 1 0


The following is a simulated powder diffractogram of YPPt2. It was derived from a GGA-PBE-relaxed structure, using copper Kα.

Atomic structure:
```
data_YPPt2
_chemical_formula_sum 'Y1 P1 Pt2'
_symmetry_space_group_name_H-M 'P 1 m 1'
_symmetry_Int_Tables_number 6
_symmetry_space_group_name_Hall 'P -2y'
_cell_length_a 4.0212
_cell_length_b 4.3526
_cell_length_c 4.6643
_cell_angle_alpha 90.00
_cell_angle_beta 91.88
_cell_angle_gamma 90.00
loop_
_atom_site_label
_atom_site_fract_x
_atom_site_fract_y
_atom_site_fract_z
Y1 0.0000 0.0000 0.0000
P1 0.5905 0.5000 0.3123
Pt1 0.4474 0.5000 0.8326
Pt2 0.5280 0.0000 0.4846
```

Largest 12 diffraction maxima, low angle first, 10° ≤ 2θ ≤ 90°:
- 2θ = 22.12°, intensity 76, hkl 1 0 0
- 2θ = 28.05°, intensity 52, hkl 0 1 1
- 2θ = 29.83°, intensity 43, hkl 1 0 1
- 2θ = 35.60°, intensity 100, hkl 1 1 -1
- 2θ = 36.41°, intensity 51, hkl 1 1 1
- 2θ = 41.49°, intensity 41, hkl 0 2 0
- 2θ = 44.07°, intensity 49, hkl 0 1 2
- 2θ = 45.12°, intensity 24, hkl 2 0 0
- 2θ = 47.51°, intensity 21, hkl 1 2 0
- 2θ = 51.93°, intensity 18, hkl 1 2 1
- 2θ = 62.96°, intensity 18, hkl 2 2 0
- 2θ = 65.95°, intensity 19, hkl 2 1 2


The following is a simulated powder diffractogram of YP2Pt8. It was derived from a GGA-PBE-relaxed structure, using copper Kα.

Atomic structure:
```
data_YP2Pt8
_chemical_formula_sum 'Y2 P4 Pt16'
_symmetry_space_group_name_H-M 'I 4/m m m'
_symmetry_Int_Tables_number 139
_symmetry_space_group_name_Hall '-I 4 2'
_cell_length_a 5.4576
_cell_length_b 5.4576
_cell_length_c 14.6702
_cell_angle_alpha 90.00
_cell_angle_beta 90.00
_cell_angle_gamma 90.00
loop_
_atom_site_label
_atom_site_fract_x
_atom_site_fract_y
_atom_site_fract_z
Y1 0.0000 0.0000 0.0000
P1 0.0000 0.5000 0.2500
Pt1 0.2466 0.2466 0.3512
```

Largest 12 diffraction maxima, low angle first, 10° ≤ 2θ ≤ 90°:
- 2θ = 12.07°, intensity 44, hkl 0 0 2
- 2θ = 24.27°, intensity 61, hkl 0 0 4
- 2θ = 32.82°, intensity 88, hkl 2 0 0
- 2θ = 35.09°, intensity 18, hkl 2 0 2
- 2θ = 36.76°, intensity 26, hkl 0 0 6
- 2θ = 41.24°, intensity 100, hkl 2 0 4
- 2θ = 47.10°, intensity 48, hkl 2 2 0
- 2θ = 50.09°, intensity 39, hkl 2 0 6
- 2θ = 53.67°, intensity 29, hkl 2 2 4
- 2θ = 61.19°, intensity 24, hkl 2 2 6
- 2θ = 73.26°, intensity 23, hkl 2 0 10
- 2θ = 83.48°, intensity 27, hkl 4 2 4


The following is a simulated powder diffractogram of Pu3P. It was derived from a GGA-PBE-relaxed structure, using copper Kα.

Atomic structure:
```
data_Pu3P
_chemical_formula_sum 'Pu6 P2'
_symmetry_space_group_name_H-M 'I 4/m m m'
_symmetry_Int_Tables_number 139
_symmetry_space_group_name_Hall '-I 4 2'
_cell_length_a 4.2561
_cell_length_b 4.2561
_cell_length_c 8.6410
_cell_angle_alpha 90.00
_cell_angle_beta 90.00
_cell_angle_gamma 90.00
loop_
_atom_site_label
_atom_site_fract_x
_atom_site_fract_y
_atom_site_fract_z
Pu1 0.0000 0.0000 0.0000
Pu2 0.0000 0.5000 0.2500
P1 0.0000 0.0000 0.5000
```

Largest 12 diffraction maxima, low angle first, 10° ≤ 2θ ≤ 90°:
- 2θ = 20.56°, intensity 8, hkl 0 0 2
- 2θ = 23.30°, intensity 23, hkl 1 0 1
- 2θ = 36.38°, intensity 100, hkl 1 1 2
- 2θ = 37.71°, intensity 7, hkl 1 0 3
- 2θ = 41.82°, intensity 17, hkl 0 0 4
- 2θ = 42.48°, intensity 33, hkl 2 0 0
- 2θ = 49.00°, intensity 7, hkl 2 1 1
- 2θ = 61.13°, intensity 23, hkl 2 0 4
- 2θ = 61.64°, intensity 11, hkl 2 2 0
- 2θ = 72.80°, intensity 14, hkl 1 1 6
- 2θ = 73.73°, intensity 27, hkl 3 1 2
- 2θ = 77.27°, intensity 12, hkl 2 2 4


The following is a simulated powder diffractogram of PuP2Rh5. It was derived from a GGA-PBE-relaxed structure, using copper Kα.

Atomic structure:
```
data_PuP2Rh5
_chemical_formula_sum 'Pu2 P4 Rh10'
_symmetry_space_group_name_H-M 'I m m m'
_symmetry_Int_Tables_number 71
_symmetry_space_group_name_Hall '-I 2 2'
_cell_length_a 3.8956
_cell_length_b 6.8087
_cell_length_c 9.3617
_cell_angle_alpha 90.00
_cell_angle_beta 90.00
_cell_angle_gamma 90.00
loop_
_atom_site_label
_atom_site_fract_x
_atom_site_fract_y
_atom_site_fract_z
Pu1 0.0000 0.0000 0.0000
P1 0.0000 0.5000 0.2452
Rh1 0.0000 0.2016 0.3518
Rh2 0.0000 0.5000 0.0000
```

Largest 12 diffraction maxima, low angle first, 10° ≤ 2θ ≤ 90°:
- 2θ = 26.36°, intensity 14, hkl 1 1 0
- 2θ = 31.54°, intensity 15, hkl 0 1 3
- 2θ = 32.52°, intensity 32, hkl 0 2 2
- 2θ = 36.34°, intensity 100, hkl 1 2 1
- 2θ = 36.91°, intensity 85, hkl 1 0 3
- 2θ = 40.92°, intensity 13, hkl 0 3 1
- 2θ = 46.63°, intensity 28, hkl 2 0 0
- 2θ = 47.12°, intensity 38, hkl 0 2 4
- 2θ = 58.00°, intensity 13, hkl 2 2 2
- 2θ = 68.46°, intensity 24, hkl 2 2 4
- 2θ = 80.05°, intensity 13, hkl 3 0 3
- 2θ = 81.11°, intensity 14, hkl 1 2 7


The following is a simulated powder diffractogram of Pu2PRh6. It was derived from a GGA-PBE-relaxed structure, using copper Kα.

Atomic structure:
```
data_Pu2PRh6
_chemical_formula_sum 'Pu4 P2 Rh12'
_symmetry_space_group_name_H-M 'C 1 2/m 1'
_symmetry_Int_Tables_number 12
_symmetry_space_group_name_Hall '-C 2y'
_cell_length_a 9.7568
_cell_length_b 6.1564
_cell_length_c 5.7905
_cell_angle_alpha 90.00
_cell_angle_beta 120.01
_cell_angle_gamma 90.00
loop_
_atom_site_label
_atom_site_fract_x
_atom_site_fract_y
_atom_site_fract_z
Pu1 0.2362 0.0000 0.2679
P1 0.0000 0.0000 0.5000
Rh1 0.0121 0.2777 0.7692
Rh2 0.2335 0.5000 0.2099
```

Largest 12 diffraction maxima, low angle first, 10° ≤ 2θ ≤ 90°:
- 2θ = 21.09°, intensity 23, hkl 2 0 0
- 2θ = 28.76°, intensity 17, hkl 1 1 1
- 2θ = 35.82°, intensity 50, hkl 0 0 2
- 2θ = 36.10°, intensity 100, hkl 2 2 0
- 2θ = 37.04°, intensity 17, hkl 3 1 -2
- 2θ = 39.74°, intensity 36, hkl 4 0 -2
- 2θ = 42.81°, intensity 33, hkl 4 0 0
- 2θ = 43.02°, intensity 65, hkl 2 2 -2
- 2θ = 59.56°, intensity 23, hkl 2 2 2
- 2θ = 64.99°, intensity 16, hkl 6 2 -2
- 2θ = 72.00°, intensity 13, hkl 0 4 2
- 2θ = 74.00°, intensity 18, hkl 6 2 0


The following is a simulated powder diffractogram of Pu4PS3. It was derived from a GGA-PBE-relaxed structure, using copper Kα.

Atomic structure:
```
data_Pu4PS3
_chemical_formula_sum 'Pu4 P1 S3'
_symmetry_space_group_name_H-M 'P m -3 m'
_symmetry_Int_Tables_number 221
_symmetry_space_group_name_Hall '-P 4 2 3'
_cell_length_a 5.6121
_cell_length_b 5.6121
_cell_length_c 5.6121
_cell_angle_alpha 90.00
_cell_angle_beta 90.00
_cell_angle_gamma 90.00
loop_
_atom_site_label
_atom_site_fract_x
_atom_site_fract_y
_atom_site_fract_z
Pu1 0.0000 0.0000 0.0000
Pu2 0.0000 0.5000 0.5000
P1 0.5000 0.5000 0.5000
S1 0.0000 0.0000 0.5000
```

Largest 9 diffraction maxima, low angle first, 10° ≤ 2θ ≤ 90°:
- 2θ = 27.53°, intensity 100, hkl 1 1 1
- 2θ = 31.89°, intensity 92, hkl 2 0 0
- 2θ = 45.73°, intensity 69, hkl 2 2 0
- 2θ = 54.21°, intensity 50, hkl 3 1 1
- 2θ = 56.83°, intensity 24, hkl 2 2 2
- 2θ = 66.66°, intensity 11, hkl 4 0 0
- 2θ = 73.56°, intensity 21, hkl 3 3 1
- 2θ = 75.81°, intensity 32, hkl 4 2 0
- 2θ = 84.59°, intensity 25, hkl 4 2 2


The following is a simulated powder diffractogram of Pu3PS6. It was derived from a GGA-PBE-relaxed structure, using copper Kα.

Atomic structure:
```
data_Pu3PS6
_chemical_formula_sum 'Pu12 P4 S24'
_symmetry_space_group_name_H-M 'C m c 21'
_symmetry_Int_Tables_number 36
_symmetry_space_group_name_Hall 'C 2c -2'
_cell_length_a 10.5492
_cell_length_b 13.5728
_cell_length_c 6.5148
_cell_angle_alpha 90.00
_cell_angle_beta 90.00
_cell_angle_gamma 90.00
loop_
_atom_site_label
_atom_site_fract_x
_atom_site_fract_y
_atom_site_fract_z
Pu1 0.0000 0.1016 0.0000
Pu2 0.1772 0.4041 0.9075
P1 0.0000 0.3085 0.3976
S1 0.0000 0.2631 0.7207
S2 0.0000 0.4952 0.1453
S3 0.1553 0.2394 0.2284
S4 0.1640 0.0268 0.7030
```

Largest 12 diffraction maxima, low angle first, 10° ≤ 2θ ≤ 90°:
- 2θ = 13.05°, intensity 12, hkl 0 2 0
- 2θ = 17.28°, intensity 27, hkl 1 1 1
- 2θ = 18.88°, intensity 15, hkl 0 2 1
- 2θ = 25.40°, intensity 100, hkl 2 2 1
- 2θ = 26.20°, intensity 28, hkl 3 1 0
- 2θ = 27.38°, intensity 10, hkl 0 0 2
- 2θ = 35.14°, intensity 15, hkl 3 3 1
- 2θ = 38.26°, intensity 44, hkl 0 4 2
- 2θ = 42.05°, intensity 25, hkl 3 5 0
- 2θ = 49.69°, intensity 12, hkl 5 3 1
- 2θ = 49.82°, intensity 18, hkl 0 4 3
- 2θ = 50.91°, intensity 10, hkl 3 5 2


The following is a simulated powder diffractogram of PuPS4. It was derived from a GGA-PBE-relaxed structure, using copper Kα.

Atomic structure:
```
data_PuPS4
_chemical_formula_sum 'Pu4 P4 S16'
_symmetry_space_group_name_H-M 'I 41/a m d'
_symmetry_Int_Tables_number 141
_cell_length_a 8.8979
_cell_length_b 8.8979
_cell_length_c 7.3233
_cell_angle_alpha 90.00
_cell_angle_beta 90.00
_cell_angle_gamma 90.00
loop_
_symmetry_equiv_pos_as_xyz
'x,y,z'
'-x,-y,-z'
'-y+1/4,x+3/4,z+1/4'
'y+1/4,-x+3/4,-z+1/4'
'-x+1/2,-y,z+1/2'
'x+1/2,y,-z+1/2'
'y+1/4,-x+1/4,z+3/4'
'-y+1/4,x+1/4,-z+3/4'
'x,-y,-z'
'-x,y,z'
'-y+1/4,-x+1/4,-z+3/4'
'y+1/4,x+1/4,z+3/4'
'-x+1/2,y,-z+1/2'
'x+1/2,-y,z+1/2'
'y+1/4,x+3/4,-z+1/4'
'-y+1/4,-x+3/4,z+1/4'
'x+1/2,y+1/2,z+1/2'
'-x+1/2,-y+1/2,-z+1/2'
'-y+3/4,x+1/4,z+3/4'
'y+3/4,-x+1/4,-z+3/4'
'-x,-y+1/2,z'
'x,y+1/2,-z'
'y+3/4,-x+3/4,z+1/4'
'-y+3/4,x+3/4,-z+1/4'
'x+1/2,-y+1/2,-z+1/2'
'-x+1/2,y+1/2,z+1/2'
'-y+3/4,-x+3/4,-z+1/4'
'y+3/4,x+3/4,z+1/4'
'-x,y+1/2,-z'
'x,-y+1/2,z'
'y+3/4,x+1/4,-z+3/4'
'-y+3/4,-x+1/4,z+3/4'
loop_
_atom_site_label
_atom_site_fract_x
_atom_site_fract_y
_atom_site_fract_z
Pu1 0.0000 0.2500 0.3750
P1 0.0000 0.2500 0.8750
S1 0.0000 0.0733 0.6917
```

Largest 12 diffraction maxima, low angle first, 10° ≤ 2θ ≤ 90°:
- 2θ = 15.67°, intensity 73, hkl 1 0 1
- 2θ = 19.96°, intensity 100, hkl 2 0 0
- 2θ = 25.48°, intensity 24, hkl 2 1 1
- 2θ = 28.20°, intensity 50, hkl 1 1 2
- 2θ = 32.57°, intensity 36, hkl 3 0 1
- 2θ = 38.23°, intensity 21, hkl 1 0 3
- 2θ = 38.49°, intensity 32, hkl 3 2 1
- 2θ = 40.43°, intensity 64, hkl 3 1 2
- 2θ = 40.55°, intensity 19, hkl 4 0 0
- 2θ = 50.13°, intensity 25, hkl 3 3 2
- 2θ = 52.95°, intensity 17, hkl 4 3 1
- 2θ = 66.40°, intensity 21, hkl 6 2 0


The following is a simulated powder diffractogram of Pu8P3Se4S. It was derived from a GGA-PBE-relaxed structure, using copper Kα.

Atomic structure:
```
data_Pu8P3Se4S
_chemical_formula_sum 'Pu24 P9 Se12 S3'
_symmetry_space_group_name_H-M 'R -3 m'
_symmetry_Int_Tables_number 166
_symmetry_space_group_name_Hall '-R 3 2"'
_cell_length_a 8.1173
_cell_length_b 8.1173
_cell_length_c 20.0363
_cell_angle_alpha 90.00
_cell_angle_beta 90.00
_cell_angle_gamma 120.00
loop_
_atom_site_label
_atom_site_fract_x
_atom_site_fract_y
_atom_site_fract_z
Pu1 0.0000 0.0000 0.2450
Pu2 0.0009 0.5005 0.7551
P1 0.0000 0.5000 0.5000
Se1 0.0000 0.0000 0.0000
Se2 0.0000 0.5000 0.0000
S1 0.0000 0.0000 0.5000
```

Largest 12 diffraction maxima, low angle first, 10° ≤ 2θ ≤ 90°:
- 2θ = 26.70°, intensity 17, hkl 0 0 6
- 2θ = 26.88°, intensity 54, hkl 2 0 2
- 2θ = 31.08°, intensity 100, hkl 0 2 4
- 2θ = 44.41°, intensity 36, hkl 2 0 8
- 2θ = 44.65°, intensity 38, hkl 2 2 0
- 2θ = 52.79°, intensity 18, hkl 2 2 6
- 2θ = 52.89°, intensity 9, hkl 0 4 2
- 2θ = 55.40°, intensity 20, hkl 4 0 4
- 2θ = 64.81°, intensity 12, hkl 0 4 8
- 2θ = 73.44°, intensity 16, hkl 2 2 12
- 2θ = 73.79°, intensity 17, hkl 2 4 4
- 2θ = 82.12°, intensity 13, hkl 4 2 8


The following is a simulated powder diffractogram of Pu6Te3PS2. It was derived from a GGA-PBE-relaxed structure, using copper Kα.

Atomic structure:
```
data_Pu6Te3PS2
_chemical_formula_sum 'Pu12 Te6 P2 S4'
_symmetry_space_group_name_H-M 'C 1 2/m 1'
_symmetry_Int_Tables_number 12
_symmetry_space_group_name_Hall '-C 2y'
_cell_length_a 7.2017
_cell_length_b 12.5165
_cell_length_c 7.3750
_cell_angle_alpha 90.00
_cell_angle_beta 109.05
_cell_angle_gamma 90.00
loop_
_atom_site_label
_atom_site_fract_x
_atom_site_fract_y
_atom_site_fract_z
Pu1 0.2381 0.1662 0.2155
Pu2 0.2399 0.5000 0.2164
Te1 0.0000 0.1683 0.5000
Te2 0.0000 0.5000 0.5000
P1 0.0000 0.0000 0.0000
S1 0.0000 0.3320 0.0000
```

Largest 12 diffraction maxima, low angle first, 10° ≤ 2θ ≤ 90°:
- 2θ = 25.56°, intensity 10, hkl 0 0 2
- 2θ = 26.13°, intensity 35, hkl 2 0 0
- 2θ = 30.10°, intensity 100, hkl 1 3 1
- 2θ = 32.79°, intensity 14, hkl 1 3 -2
- 2θ = 42.72°, intensity 32, hkl 2 0 2
- 2θ = 43.38°, intensity 13, hkl 0 6 0
- 2θ = 43.49°, intensity 26, hkl 3 3 -1
- 2θ = 53.71°, intensity 13, hkl 2 6 -2
- 2θ = 59.59°, intensity 8, hkl 3 3 -4
- 2θ = 62.57°, intensity 11, hkl 2 6 2
- 2θ = 63.30°, intensity 8, hkl 2 0 -5
- 2θ = 71.58°, intensity 12, hkl 4 6 0


The following is a simulated powder diffractogram of Pu3Sb2P. It was derived from a GGA-PBE-relaxed structure, using copper Kα.

Atomic structure:
```
data_Pu3Sb2P
_chemical_formula_sum 'Pu12 Sb8 P4'
_symmetry_space_group_name_H-M 'C 1 2/c 1'
_symmetry_Int_Tables_number 15
_symmetry_space_group_name_Hall '-C 2yc'
_cell_length_a 7.4695
_cell_length_b 12.8620
_cell_length_c 7.3508
_cell_angle_alpha 90.00
_cell_angle_beta 109.44
_cell_angle_gamma 90.00
loop_
_atom_site_label
_atom_site_fract_x
_atom_site_fract_y
_atom_site_fract_z
Pu1 0.2156 0.0747 0.4931
Pu2 0.2500 0.2500 0.0000
Sb1 0.0000 0.2616 0.2500
Sb2 0.0000 0.4191 0.7500
P1 0.0000 0.0899 0.7500
```

Largest 12 diffraction maxima, low angle first, 10° ≤ 2θ ≤ 90°:
- 2θ = 25.29°, intensity 8, hkl 2 0 0
- 2θ = 25.47°, intensity 20, hkl 1 3 -1
- 2θ = 25.70°, intensity 9, hkl 0 0 2
- 2θ = 29.51°, intensity 100, hkl 1 3 1
- 2θ = 41.96°, intensity 23, hkl 3 3 -1
- 2θ = 42.19°, intensity 24, hkl 0 6 0
- 2θ = 42.49°, intensity 26, hkl 1 3 -3
- 2θ = 52.31°, intensity 13, hkl 2 6 -2
- 2θ = 52.82°, intensity 8, hkl 0 0 4
- 2θ = 61.20°, intensity 7, hkl 2 6 2
- 2θ = 69.82°, intensity 11, hkl 0 6 4
- 2θ = 77.25°, intensity 8, hkl 1 9 -3